No. 1
Simulated X-ray powder pattern of AlHgPt for a wavelength of 1.5418 Å, from the PBE geometry in Alexandria.

Crystal structure
```
AlHgPt
1.0
3.393 0.000 0.000
0.000 3.393 0.000
0.037 0.097 9.469
Al Hg Pt
2 2 2
direct
0.249 0.247 0.087
0.751 0.753 0.913
0.249 0.248 0.395
0.751 0.752 0.605
0.252 0.256 0.818
0.748 0.744 0.182
```

Largest 6 diffraction maxima, low angle first, 5 to 70 degrees two-theta:
2θ (°), I (rel.)
32.35, 85
32.53, 41
32.63, 39
37.49, 100
38.77, 19
54.05, 35

---

No. 2
Simulated X-ray powder pattern of Sm2Al4HgPt3 for a wavelength of 1.5418 Å, from the PBE geometry in Alexandria.

Crystal structure
```
Sm2Al4HgPt3
1.0
4.320 0.000 0.000
0.000 4.320 0.000
0.000 0.000 10.561
Sm Al Hg Pt
2 4 1 3
direct
0.000 0.500 0.240
0.500 0.000 0.760
0.000 0.000 0.000
0.000 0.500 0.640
0.500 0.000 0.360
0.500 0.500 0.000
0.000 0.000 0.500
0.000 0.500 0.872
0.500 0.000 0.128
0.500 0.500 0.500
```

Largest 6 diffraction maxima, low angle first, 5 to 70 degrees two-theta:
2θ (°), I (rel.)
25.30, 34
30.46, 73
32.82, 58
33.91, 100
41.82, 64
60.67, 34

---

No. 3
Simulated X-ray powder pattern of Pu2Al3Zn4Hg for a wavelength of 1.5418 Å, from the PBE geometry in Alexandria.

Crystal structure
```
Pu2Al3Zn4Hg
1.0
4.245 0.000 0.000
0.000 4.245 0.000
0.000 0.000 10.948
Pu Al Zn Hg
2 3 4 1
direct
0.000 0.500 0.239
0.500 0.000 0.761
0.000 0.500 0.869
0.500 0.000 0.131
0.500 0.500 0.500
0.000 0.000 0.000
0.000 0.500 0.647
0.500 0.000 0.353
0.500 0.500 0.000
0.000 0.000 0.500
```

Largest 6 diffraction maxima, low angle first, 5 to 70 degrees two-theta:
2θ (°), I (rel.)
22.46, 45
32.35, 48
34.06, 100
42.59, 38
46.68, 23
54.48, 23

---

No. 4
Simulated X-ray powder pattern of AlSi2HgS for a wavelength of 1.5418 Å, from the PBE geometry in Alexandria.

Crystal structure
```
AlSi2HgS
1.0
5.008 0.000 0.000
0.000 5.008 0.000
0.000 0.000 5.188
Al Si Hg S
1 2 1 1
direct
0.000 0.000 0.000
0.000 0.500 0.500
0.500 0.000 0.500
0.500 0.500 0.500
0.500 0.500 0.000
```

Largest 6 diffraction maxima, low angle first, 5 to 70 degrees two-theta:
2θ (°), I (rel.)
17.09, 49
17.71, 100
24.71, 80
25.15, 42
35.86, 42
44.04, 36

---

No. 5
Simulated X-ray powder pattern of AlHgSb for a wavelength of 1.5418 Å, from the PBE geometry in Alexandria.

Crystal structure
```
AlHgSb
1.0
4.294 0.000 0.000
-2.147 3.719 0.000
0.000 0.000 10.793
Al Hg Sb
2 2 2
direct
0.333 0.667 0.276
0.667 0.333 0.724
0.000 0.000 0.135
0.000 0.000 0.865
0.333 0.667 0.616
0.667 0.333 0.384
```

Largest 6 diffraction maxima, low angle first, 5 to 70 degrees two-theta:
2θ (°), I (rel.)
23.93, 26
25.33, 100
33.20, 21
34.69, 71
42.09, 47
54.63, 30

---

No. 6
Simulated X-ray powder pattern of Sc5AlHg6 for a wavelength of 1.5418 Å, from the PBE geometry in Alexandria.

Crystal structure
```
Sc5AlHg6
1.0
-2.447 3.540 7.397
2.447 -3.540 7.397
2.447 3.540 -7.397
Sc Al Hg
5 1 6
direct
0.000 0.000 0.000
0.168 0.668 0.500
0.335 0.335 0.000
0.665 0.665 0.000
0.832 0.332 0.500
0.500 0.000 0.500
0.089 0.835 0.254
0.253 0.500 0.753
0.419 0.165 0.254
0.581 0.835 0.746
0.747 0.500 0.247
0.911 0.165 0.746
```

Largest 6 diffraction maxima, low angle first, 5 to 70 degrees two-theta:
2θ (°), I (rel.)
25.15, 27
25.64, 51
36.23, 100
36.44, 25
36.72, 24
65.44, 18

---

No. 7
Simulated X-ray powder pattern of Sc6AlHg5 for a wavelength of 1.5418 Å, from the PBE geometry in Alexandria.

Crystal structure
```
Sc6AlHg5
1.0
4.929 0.000 0.000
0.000 7.053 0.000
-2.443 0.000 7.416
Sc Al Hg
6 1 5
direct
0.000 0.248 0.000
0.000 0.752 0.000
0.334 0.247 0.668
0.334 0.753 0.668
0.666 0.247 0.332
0.666 0.753 0.332
0.500 0.000 0.000
0.162 0.000 0.326
0.165 0.500 0.332
0.500 0.500 0.000
0.835 0.500 0.668
0.838 0.000 0.674
```

Largest 6 diffraction maxima, low angle first, 5 to 70 degrees two-theta:
2θ (°), I (rel.)
25.26, 21
25.52, 41
36.21, 100
36.34, 25
36.46, 25
44.82, 20

---

No. 8
Simulated X-ray powder pattern of AlHgSe for a wavelength of 1.5418 Å, from the PBE geometry in Alexandria.

Crystal structure
```
AlHgSe
1.0
14.527 0.000 0.000
0.000 1.877 3.252
0.000 -1.877 3.252
Al Hg Se
2 2 2
direct
0.181 0.000 0.000
0.819 0.000 0.000
0.000 0.000 0.000
0.500 0.002 0.002
0.263 0.667 0.667
0.737 0.667 0.667
```

Largest 6 diffraction maxima, low angle first, 5 to 70 degrees two-theta:
2θ (°), I (rel.)
24.51, 38
27.43, 47
30.11, 100
37.11, 36
46.78, 39
55.07, 25